(1)
Diffraction record for Li2Al3Pd2. The PXRD pattern is computed, not measured: it uses a cell relaxed with GGA-PBE and Cu Ka.
Intensities are scaled so that the largest is 100.

Structure:
Cell lengths 4.2796, 4.3100, 7.7319 Å; angles 90.11, 105.92, 119.49 degrees
Positions (direct):
Li (0.2419, 0.3677, 0.1089)
Li (0.7581, 0.6323, 0.8911)
Al (0.0301, 0.7629, 0.2914)
Al (0.5000, 0.5000, 0.5000)
Al (0.9699, 0.2371, 0.7086)
Pd (0.2650, 0.8820, 0.6522)
Pd (0.7350, 0.1180, 0.3478)

Principal peaks in the range 2θ from 10° to 90°, low angle first:
12.07°, 7.335 Å, rel. 100
24.29°, 3.665 Å, rel. 34
29.02°, 3.077 Å, rel. 20
31.39°, 2.850 Å, rel. 28
31.55°, 2.836 Å, rel. 14
40.72°, 2.216 Å, rel. 29
40.85°, 2.209 Å, rel. 14
41.74°, 2.164 Å, rel. 17
41.93°, 2.155 Å, rel. 17
42.24°, 2.140 Å, rel. 16



(2)
Diffraction record for Nb11Co4Ir9. The PXRD pattern is computed, not measured: it uses a cell relaxed with GGA-PBE and Cu Ka.
Intensities are scaled so that the largest is 100.

Structure:
Cell lengths 11.8142, 11.8142, 2.9776 Å; angles 90.00, 90.00, 116.74 degrees
Positions (direct):
Nb (0.0000, 0.0000, 0.0000)
Nb (0.0482, 0.3961, 0.0000)
Nb (0.1713, 0.8287, 0.0000)
Nb (0.2956, 0.2956, 0.0000)
Nb (0.3742, 0.6258, 0.0000)
Nb (0.3961, 0.0482, 0.0000)
Nb (0.6039, 0.9518, 0.0000)
Nb (0.6258, 0.3742, 0.0000)
Nb (0.7044, 0.7044, 0.0000)
Nb (0.8287, 0.1713, 0.0000)
Nb (0.9518, 0.6039, 0.0000)
Co (0.2486, 0.4403, 0.5000)
Co (0.4403, 0.2486, 0.5000)
Co (0.5597, 0.7514, 0.5000)
Co (0.7514, 0.5597, 0.5000)
Ir (0.0581, 0.2058, 0.5000)
Ir (0.1599, 0.6155, 0.5000)
Ir (0.2058, 0.0581, 0.5000)
Ir (0.3845, 0.8401, 0.5000)
Ir (0.5000, 0.5000, 0.5000)
Ir (0.6155, 0.1599, 0.5000)
Ir (0.7942, 0.9419, 0.5000)
Ir (0.8401, 0.3845, 0.5000)
Ir (0.9419, 0.7942, 0.5000)

Principal peaks in the range 2θ from 10° to 90°, low angle first:
38.30°, 2.350 Å, rel. 43
38.71°, 2.326 Å, rel. 21
39.62°, 2.275 Å, rel. 100
40.52°, 2.226 Å, rel. 65
41.03°, 2.200 Å, rel. 29
42.09°, 2.147 Å, rel. 71
50.47°, 1.808 Å, rel. 18
62.37°, 1.489 Å, rel. 19
64.24°, 1.450 Å, rel. 13
76.46°, 1.246 Å, rel. 22